Structure and computed powder diffractogram of CsCuTcTe2Se (the PBE geometry in OQMD; Cu Kα (weighted mean of Kα1 and Kα2)).
Intensities are scaled so that the largest is 100.

Structural model:
a = 9.308 Å, b = 3.975 Å, c = 10.425 Å
α = 90.00°, β = 115.44°, γ = 90.00°
Atoms (fractional coordinates):
Cs (0.008, 0.250, 0.234)
Cs (0.992, 0.750, 0.766)
Cu (0.477, 0.250, 0.901)
Cu (0.523, 0.750, 0.099)
Tc (0.468, 0.750, 0.649)
Tc (0.532, 0.250, 0.351)
Te (0.262, 0.250, 0.644)
Te (0.328, 0.250, 0.066)
Te (0.672, 0.750, 0.934)
Te (0.738, 0.750, 0.356)
Se (0.363, 0.750, 0.378)
Se (0.637, 0.250, 0.622)

Main lines, by angle (2θ = 5–70°):
8.405 Å, 10.53°, I = 80
3.593 Å, 24.78°, I = 26
3.513 Å, 25.35°, I = 41
3.169 Å, 28.16°, I = 25
3.022 Å, 29.55°, I = 100
2.421 Å, 37.14°, I = 33
2.190 Å, 41.22°, I = 37
1.988 Å, 45.64°, I = 34
1.847 Å, 49.33°, I = 24
1.796 Å, 50.84°, I = 31

=====

Structure and computed powder diffractogram of LaPr3Se7 (the PBE geometry in OQMD; Cu Kα (weighted mean of Kα1 and Kα2)).
Intensities are scaled so that the largest is 100.

Structural model:
a = 10.730 Å, b = 7.324 Å, c = 7.324 Å
α = 35.01°, β = 90.00°, γ = 90.00°
Atoms (fractional coordinates):
La (0.000, 0.000, 0.000)
Pr (0.241, 0.728, 0.728)
Pr (0.500, 0.011, 0.011)
Pr (0.759, 0.728, 0.728)
Se (0.000, 0.348, 0.348)
Se (0.000, 0.637, 0.637)
Se (0.248, 0.089, 0.089)
Se (0.386, 0.368, 0.368)
Se (0.500, 0.654, 0.654)
Se (0.614, 0.368, 0.368)
Se (0.752, 0.089, 0.089)

Main lines, by angle (2θ = 5–70°):
4.255 Å, 20.88°, I = 49
3.200 Å, 27.88°, I = 100
2.749 Å, 32.58°, I = 59
2.683 Å, 33.40°, I = 25
2.261 Å, 39.87°, I = 23
2.203 Å, 40.97°, I = 28
2.160 Å, 41.82°, I = 40
2.136 Å, 42.31°, I = 27
2.056 Å, 44.05°, I = 23
1.533 Å, 60.36°, I = 19

=====

Structure and computed powder diffractogram of TaWS4 (the PBE geometry in OQMD; Cu Kα (weighted mean of Kα1 and Kα2)).
Intensities are scaled so that the largest is 100.

Structural model:
a = 6.848 Å, b = 6.848 Å, c = 5.677 Å
α = 90.00°, β = 90.00°, γ = 152.39°
Atoms (fractional coordinates):
Ta (0.000, 0.000, 0.000)
W (0.500, 0.500, 0.493)
S (0.116, 0.884, 0.657)
S (0.382, 0.618, 0.167)
S (0.618, 0.382, 0.167)
S (0.884, 0.116, 0.657)

Main lines, by angle (2θ = 5–70°):
6.651 Å, 13.31°, I = 100
3.325 Å, 26.81°, I = 7
2.838 Å, 31.52°, I = 9
2.771 Å, 32.31°, I = 36
2.611 Å, 34.35°, I = 18
2.387 Å, 37.68°, I = 38
2.159 Å, 41.84°, I = 16
1.939 Å, 46.85°, I = 23
1.625 Å, 56.63°, I = 14
1.578 Å, 58.49°, I = 7

=====

Structure and computed powder diffractogram of Cs2PuSeS2 (the PBE geometry in OQMD; Cu Kα (weighted mean of Kα1 and Kα2)).
Intensities are scaled so that the largest is 100.

Structural model:
a = 7.479 Å, b = 8.573 Å, c = 9.239 Å
α = 73.80°, β = 70.50°, γ = 66.99°
Atoms (fractional coordinates):
Cs (0.084, 0.196, 0.148)
Cs (0.352, 0.545, 0.295)
Cs (0.648, 0.455, 0.705)
Cs (0.916, 0.804, 0.852)
Pu (0.355, 0.063, 0.693)
Pu (0.645, 0.937, 0.307)
Se (0.162, 0.393, 0.724)
Se (0.838, 0.607, 0.276)
S (0.288, 0.955, 0.485)
S (0.379, 0.821, 0.921)
S (0.621, 0.179, 0.079)
S (0.712, 0.045, 0.515)

Main lines, by angle (2θ = 5–70°):
6.155 Å, 14.39°, I = 35
6.059 Å, 14.62°, I = 44
4.290 Å, 20.70°, I = 54
4.028 Å, 22.07°, I = 51
3.974 Å, 22.37°, I = 48
3.798 Å, 23.43°, I = 46
3.727 Å, 23.88°, I = 100
2.912 Å, 30.71°, I = 56
2.514 Å, 35.71°, I = 32
2.371 Å, 37.95°, I = 30

=====

Structure and computed powder diffractogram of AlCo2 (the PBE geometry in OQMD; Cu Kα (weighted mean of Kα1 and Kα2)).
Intensities are scaled so that the largest is 100.

Structural model:
a = 8.788 Å, b = 8.788 Å, c = 4.583 Å
α = 90.00°, β = 90.00°, γ = 90.00°
Atoms (fractional coordinates):
Al (0.000, 0.000, 0.000)
Al (0.065, 0.279, 0.000)
Al (0.221, 0.565, 0.500)
Al (0.279, 0.065, 0.000)
Al (0.435, 0.779, 0.500)
Al (0.500, 0.500, 0.500)
Al (0.565, 0.221, 0.500)
Al (0.721, 0.935, 0.000)
Al (0.779, 0.435, 0.500)
Al (0.935, 0.721, 0.000)
Co (0.039, 0.361, 0.500)
Co (0.101, 0.101, 0.500)
Co (0.139, 0.539, 0.000)
Co (0.180, 0.820, 0.251)
Co (0.180, 0.820, 0.749)
Co (0.320, 0.320, 0.249)
Co (0.320, 0.320, 0.751)
Co (0.361, 0.039, 0.500)
Co (0.399, 0.601, 0.000)
Co (0.461, 0.861, 0.000)
Co (0.539, 0.139, 0.000)
Co (0.601, 0.399, 0.000)
Co (0.639, 0.961, 0.500)
Co (0.680, 0.680, 0.249)
Co (0.680, 0.680, 0.751)
Co (0.820, 0.180, 0.251)
Co (0.820, 0.180, 0.749)
Co (0.861, 0.461, 0.000)
Co (0.899, 0.899, 0.500)
Co (0.961, 0.639, 0.500)

Main lines, by angle (2θ = 5–70°):
4.063 Å, 21.87°, I = 18
2.376 Å, 37.86°, I = 22
2.291 Å, 39.32°, I = 12
2.131 Å, 42.41°, I = 100
2.071 Å, 43.70°, I = 53
2.032 Å, 44.60°, I = 43
1.980 Å, 45.84°, I = 74
1.933 Å, 47.02°, I = 76
1.887 Å, 48.21°, I = 30
1.768 Å, 51.71°, I = 17

=====

Structure and computed powder diffractogram of Sr2CuSb2Pd (the PBE geometry in OQMD; Cu Kα (weighted mean of Kα1 and Kα2)).
Intensities are scaled so that the largest is 100.

Structural model:
a = 4.534 Å, b = 4.534 Å, c = 9.167 Å
α = 90.00°, β = 90.00°, γ = 120.00°
Atoms (fractional coordinates):
Sr (0.000, 0.000, 0.247)
Sr (0.000, 0.000, 0.753)
Cu (0.667, 0.333, 0.500)
Sb (0.333, 0.667, 0.500)
Sb (0.667, 0.333, 0.000)
Pd (0.333, 0.667, 0.000)

Main lines, by angle (2θ = 5–70°):
4.583 Å, 19.37°, I = 19
3.610 Å, 24.66°, I = 4
2.982 Å, 29.96°, I = 100
2.292 Å, 39.32°, I = 19
2.267 Å, 39.76°, I = 54
2.032 Å, 44.59°, I = 13
1.805 Å, 50.57°, I = 23
1.612 Å, 57.15°, I = 37
1.424 Å, 65.56°, I = 10
1.412 Å, 66.18°, I = 20

=====

Structure and computed powder diffractogram of Cu7Ag2 (the PBE geometry in OQMD; Cu Kα (weighted mean of Kα1 and Kα2)).
Intensities are scaled so that the largest is 100.

Structural model:
a = 2.678 Å, b = 2.678 Å, c = 19.250 Å
α = 90.00°, β = 90.00°, γ = 120.00°
Atoms (fractional coordinates):
Cu (0.000, 0.000, 0.000)
Cu (0.000, 0.000, 0.315)
Cu (0.000, 0.000, 0.685)
Cu (0.333, 0.667, 0.211)
Cu (0.333, 0.667, 0.895)
Cu (0.667, 0.333, 0.105)
Cu (0.667, 0.333, 0.789)
Ag (0.333, 0.667, 0.567)
Ag (0.667, 0.333, 0.433)

Main lines, by angle (2θ = 5–70°):
2.750 Å, 32.56°, I = 4
2.406 Å, 37.37°, I = 7
2.255 Å, 39.98°, I = 5
2.181 Å, 41.39°, I = 100
2.139 Å, 42.25°, I = 20
2.089 Å, 43.30°, I = 4
1.987 Å, 45.66°, I = 7
1.925 Å, 47.22°, I = 4
1.880 Å, 48.43°, I = 53
1.397 Å, 66.99°, I = 4

=====

Structure and computed powder diffractogram of CuC8 (the PBE geometry in OQMD; Cu Kα (weighted mean of Kα1 and Kα2)).
Intensities are scaled so that the largest is 100.

Structural model:
a = 9.035 Å, b = 8.320 Å, c = 4.976 Å
α = 81.42°, β = 65.58°, γ = 32.99°
Atoms (fractional coordinates):
Cu (0.125, 0.125, 0.125)
Cu (0.875, 0.875, 0.875)
C (0.081, 0.414, 0.336)
C (0.084, 0.416, 0.833)
C (0.167, 0.832, 0.916)
C (0.168, 0.833, 0.416)
C (0.330, 0.664, 0.586)
C (0.336, 0.670, 0.081)
C (0.414, 0.081, 0.670)
C (0.416, 0.084, 0.168)
C (0.584, 0.916, 0.832)
C (0.586, 0.919, 0.330)
C (0.664, 0.330, 0.919)
C (0.670, 0.336, 0.414)
C (0.832, 0.167, 0.584)
C (0.833, 0.168, 0.084)
C (0.916, 0.584, 0.167)
C (0.919, 0.586, 0.664)

Main lines, by angle (2θ = 5–70°):
4.155 Å, 21.38°, I = 100
3.789 Å, 23.48°, I = 81
3.340 Å, 26.69°, I = 59
2.556 Å, 35.11°, I = 27
2.458 Å, 36.56°, I = 24
2.371 Å, 37.95°, I = 22
2.254 Å, 40.01°, I = 37
1.985 Å, 45.70°, I = 28
1.959 Å, 46.36°, I = 13
1.893 Å, 48.06°, I = 77

=====

Structure and computed powder diffractogram of ZrZnCuSn (the PBE geometry in OQMD; Cu Kα (weighted mean of Kα1 and Kα2)).
Intensities are scaled so that the largest is 100.

Structural model:
a = 4.666 Å, b = 4.666 Å, c = 4.666 Å
α = 60.00°, β = 60.00°, γ = 60.00°
Atoms (fractional coordinates):
Zr (0.000, 0.000, 0.000)
Zn (0.250, 0.250, 0.250)
Cu (0.750, 0.750, 0.750)
Sn (0.500, 0.500, 0.500)

Main lines, by angle (2θ = 5–70°):
3.809 Å, 23.35°, I = 1
3.299 Å, 27.03°, I = 5
2.333 Å, 38.59°, I = 100
1.989 Å, 45.60°, I = 1
1.905 Å, 47.75°, I = 2
1.650 Å, 55.73°, I = 17
1.475 Å, 63.00°, I = 2
1.347 Å, 69.83°, I = 34

=====

Structure and computed powder diffractogram of ZnBr2O8 (the PBE geometry in OQMD; Cu Kα (weighted mean of Kα1 and Kα2)).
Intensities are scaled so that the largest is 100.

Structural model:
a = 4.955 Å, b = 4.955 Å, c = 6.731 Å
α = 90.00°, β = 90.00°, γ = 120.00°
Atoms (fractional coordinates):
Zn (0.000, 0.000, 0.000)
Br (0.333, 0.667, 0.732)
Br (0.667, 0.333, 0.268)
O (0.026, 0.679, 0.819)
O (0.321, 0.346, 0.819)
O (0.333, 0.667, 0.494)
O (0.346, 0.026, 0.181)
O (0.654, 0.974, 0.819)
O (0.667, 0.333, 0.506)
O (0.679, 0.654, 0.181)
O (0.974, 0.321, 0.181)

Main lines, by angle (2θ = 5–70°):
6.731 Å, 13.15°, I = 9
3.618 Å, 24.60°, I = 100
2.648 Å, 33.85°, I = 26
2.478 Å, 36.26°, I = 27
2.044 Å, 44.31°, I = 16
1.988 Å, 45.63°, I = 13
1.809 Å, 50.44°, I = 9
1.577 Å, 58.54°, I = 15
1.430 Å, 65.22°, I = 11
1.392 Å, 67.26°, I = 12

=====

Structure and computed powder diffractogram of LaGd2P3 (the PBE geometry in OQMD; Cu Kα (weighted mean of Kα1 and Kα2)).
Intensities are scaled so that the largest is 100.

Structural model:
a = 4.122 Å, b = 4.122 Å, c = 10.107 Å
α = 90.00°, β = 90.00°, γ = 120.00°
Atoms (fractional coordinates):
La (0.000, 0.000, 0.000)
Gd (0.333, 0.667, 0.339)
Gd (0.667, 0.333, 0.661)
P (0.000, 0.000, 0.500)
P (0.333, 0.667, 0.823)
P (0.667, 0.333, 0.177)

Main lines, by angle (2θ = 5–70°):
10.107 Å, 8.75°, I = 2
3.367 Å, 26.47°, I = 82
2.916 Å, 30.66°, I = 100
2.450 Å, 36.68°, I = 1
2.062 Å, 43.92°, I = 73
1.758 Å, 52.01°, I = 41
1.683 Å, 54.51°, I = 25
1.458 Å, 63.85°, I = 12

=====

Structure and computed powder diffractogram of NdGdGa2I2 (the PBE geometry in OQMD; Cu Kα (weighted mean of Kα1 and Kα2)).
Intensities are scaled so that the largest is 100.

Structural model:
a = 4.266 Å, b = 4.266 Å, c = 12.372 Å
α = 90.00°, β = 90.00°, γ = 120.00°
Atoms (fractional coordinates):
Nd (0.000, 0.000, 0.000)
Gd (0.000, 0.000, 0.333)
Ga (0.333, 0.667, 0.196)
Ga (0.667, 0.333, 0.144)
I (0.333, 0.667, 0.832)
I (0.667, 0.333, 0.495)

Main lines, by angle (2θ = 5–70°):
12.372 Å, 7.15°, I = 64
6.186 Å, 14.32°, I = 10
3.540 Å, 25.16°, I = 38
3.172 Å, 28.14°, I = 45
2.752 Å, 32.54°, I = 100
2.133 Å, 42.38°, I = 48
2.062 Å, 43.91°, I = 12
2.056 Å, 44.05°, I = 18
1.686 Å, 54.43°, I = 23
1.482 Å, 62.67°, I = 24

=====

Structure and computed powder diffractogram of Er2Sc2CCl5 (the PBE geometry in OQMD; Cu Kα (weighted mean of Kα1 and Kα2)).
Intensities are scaled so that the largest is 100.

Structural model:
a = 8.485 Å, b = 8.485 Å, c = 7.708 Å
α = 103.03°, β = 103.03°, γ = 24.50°
Atoms (fractional coordinates):
Er (0.001, 0.001, 0.290)
Er (0.999, 0.999, 0.710)
Sc (0.362, 0.362, 0.424)
Sc (0.638, 0.638, 0.576)
C (0.500, 0.500, 0.500)
Cl (0.165, 0.165, 0.822)
Cl (0.171, 0.171, 0.355)
Cl (0.500, 0.500, 0.000)
Cl (0.829, 0.829, 0.645)
Cl (0.835, 0.835, 0.178)

Main lines, by angle (2θ = 5–70°):
8.068 Å, 10.97°, I = 100
7.500 Å, 11.80°, I = 26
3.748 Å, 23.74°, I = 28
3.514 Å, 25.34°, I = 32
2.689 Å, 33.31°, I = 29
2.631 Å, 34.08°, I = 55
2.501 Å, 35.91°, I = 23
2.474 Å, 36.31°, I = 18
2.403 Å, 37.42°, I = 21
1.881 Å, 48.40°, I = 33

=====

Structure and computed powder diffractogram of TbS2 (the PBE geometry in OQMD; Cu Kα (weighted mean of Kα1 and Kα2)).
Intensities are scaled so that the largest is 100.

Structural model:
a = 4.160 Å, b = 4.160 Å, c = 10.127 Å
α = 90.00°, β = 90.00°, γ = 120.00°
Atoms (fractional coordinates):
Tb (0.333, 0.667, 0.000)
Tb (0.667, 0.333, 0.500)
S (0.000, 0.000, 0.373)
S (0.000, 0.000, 0.873)
S (0.333, 0.667, 0.634)
S (0.667, 0.333, 0.134)

Main lines, by angle (2θ = 5–70°):
5.064 Å, 17.51°, I = 73
3.394 Å, 26.25°, I = 100
2.936 Å, 30.45°, I = 42
2.463 Å, 36.47°, I = 78
2.080 Å, 43.51°, I = 45
2.072 Å, 43.70°, I = 16
1.924 Å, 47.24°, I = 34
1.774 Å, 51.53°, I = 16
1.766 Å, 51.78°, I = 25
1.589 Å, 58.03°, I = 20